[1]
# Ac2Si2N5
Computed powder diffractogram, a wavelength of 1.5418 Å. Input: a cell relaxed with PBE.
Intensities are scaled so that the largest is 100.

Structural model:
```
Ac2Si2N5
1.0
5.096 -1.960 0.000
5.096 1.960 0.000
-1.298 0.000 6.125
Ac Si N
2 2 5
Cartesian
0.557 0.000 1.911 Ac
8.337 0.000 4.214 Ac
3.399 0.000 0.607 Si
5.495 0.000 5.519 Si
0.602 0.000 5.755 N
3.177 0.000 2.339 N
5.096 0.000 0.000 N
5.717 0.000 3.787 N
8.292 0.000 0.370 N
```

Principal peaks in the range 10 to 90 degrees two-theta, by angle:
| d_spacing | 2θ (°) | Rel. int. |
| --- | --- | --- |
| 4.331 | 20.5 | 38.0 |
| 3.648 | 24.4 | 87.6 |
| 3.525 | 25.3 | 65.5 |
| 3.034 | 29.4 | 100.0 |
| 2.890 | 30.9 | 51.3 |
| 2.495 | 36.0 | 56.4 |
| 2.485 | 36.1 | 66.2 |
| 2.438 | 36.9 | 62.7 |
| 2.221 | 40.6 | 37.6 |
| 1.960 | 46.3 | 26.3 |

---

[2]
# Ac6Si3N
Computed powder diffractogram, a wavelength of 1.5418 Å. Input: a cell relaxed with PBE.
Intensities are scaled so that the largest is 100.

Structural model:
```
Ac6Si3N
1.0
6.995 0.000 0.000
0.000 8.354 0.000
-6.945 0.000 10.888
Ac Si N
12 6 2
Cartesian
-2.462 1.714 4.739 Ac
-5.934 2.463 10.183 Ac
-1.227 5.563 4.761 Ac
-4.699 6.968 10.205 Ac
0.981 0.398 2.551 Ac
-2.492 3.779 7.995 Ac
2.541 4.575 2.893 Ac
-0.931 7.956 8.337 Ac
4.749 1.386 0.683 Ac
1.276 2.791 6.127 Ac
5.984 5.891 0.705 Ac
2.511 6.640 6.149 Ac
-3.902 0.919 8.114 Si
-0.430 3.258 2.670 Si
0.025 0.000 5.444 Si
3.497 4.177 0.000 Si
0.479 5.096 8.218 Si
3.952 7.434 2.774 Si
0.000 0.000 0.000 N
-3.473 4.177 5.444 N
```

Principal peaks in the range 10 to 90 degrees two-theta, by angle:
| d_spacing | 2θ (°) | Rel. int. |
| --- | --- | --- |
| 3.900 | 22.8 | 27.3 |
| 3.407 | 26.2 | 49.0 |
| 3.314 | 26.9 | 53.6 |
| 3.227 | 27.6 | 100.0 |
| 3.216 | 27.7 | 53.7 |
| 3.095 | 28.9 | 55.1 |
| 3.007 | 29.7 | 41.1 |
| 2.995 | 29.8 | 51.9 |
| 2.001 | 45.3 | 26.6 |
| 1.810 | 50.4 | 30.8 |

---

[3]
# AcSiTc2N
Computed powder diffractogram, a wavelength of 1.5418 Å. Input: a cell relaxed with PBE.
Intensities are scaled so that the largest is 100.

Structural model:
```
AcSiTc2N
1.0
2.028 -5.658 0.000
2.028 5.658 0.000
0.000 0.000 7.387
Ac Si Tc N
2 2 4 2
Cartesian
2.028 5.131 5.541 Ac
2.028 -5.131 1.847 Ac
2.028 3.050 1.847 Si
2.028 -3.050 5.541 Si
2.028 1.919 4.144 Tc
2.028 1.919 6.937 Tc
2.028 -1.919 0.450 Tc
2.028 -1.919 3.244 Tc
2.028 0.000 0.000 N
2.028 0.000 3.694 N
```

Principal peaks in the range 10 to 90 degrees two-theta, by angle:
| d_spacing | 2θ (°) | Rel. int. |
| --- | --- | --- |
| 3.392 | 26.3 | 21.5 |
| 3.093 | 28.9 | 40.0 |
| 2.762 | 32.4 | 63.2 |
| 2.655 | 33.8 | 100.0 |
| 2.642 | 33.9 | 44.7 |
| 2.587 | 34.7 | 38.5 |
| 2.258 | 39.9 | 25.9 |
| 2.028 | 44.7 | 27.5 |
| 1.609 | 57.3 | 20.2 |
| 1.541 | 60.0 | 25.9 |

---

[4]
# Ac8Si3Te4N
Computed powder diffractogram, a wavelength of 1.5418 Å. Input: a cell relaxed with PBE.
Intensities are scaled so that the largest is 100.

Structural model:
```
Ac8Si3Te4N
1.0
7.844 -4.523 0.000
7.844 4.523 0.000
-5.231 0.000 7.764
Ac Si Te N
8 3 4 1
Cartesian
3.990 2.382 5.510 Ac
-0.101 0.000 5.536 Ac
6.467 2.382 2.254 Ac
2.615 0.000 2.133 Ac
7.842 0.000 5.631 Ac
3.990 -2.382 5.510 Ac
10.558 0.000 2.228 Ac
6.467 -2.382 2.254 Ac
1.307 2.261 3.882 Si
1.307 -2.261 3.882 Si
5.229 0.000 3.882 Si
0.000 0.000 0.000 Te
3.922 2.261 0.000 Te
3.922 -2.261 0.000 Te
7.844 0.000 0.000 Te
-2.615 0.000 3.882 N
```

Principal peaks in the range 10 to 90 degrees two-theta, by angle:
| d_spacing | 2θ (°) | Rel. int. |
| --- | --- | --- |
| 3.879 | 22.9 | 11.9 |
| 3.715 | 24.0 | 33.7 |
| 3.252 | 27.4 | 100.0 |
| 2.999 | 29.8 | 16.7 |
| 2.337 | 38.5 | 33.0 |
| 2.263 | 39.8 | 39.1 |
| 1.857 | 49.0 | 20.0 |
| 1.704 | 53.8 | 13.2 |
| 1.626 | 56.6 | 10.6 |
| 1.436 | 65.0 | 16.8 |

---

[5]
# Ac3ZrSi2N6
Computed powder diffractogram, a wavelength of 1.5418 Å. Input: a cell relaxed with PBE.
Intensities are scaled so that the largest is 100.

Structural model:
```
Ac3ZrSi2N6
1.0
5.829 0.000 0.000
-2.915 5.048 0.000
0.000 0.000 6.791
Ac Zr Si N
3 1 2 6
Cartesian
0.000 0.000 0.000 Ac
0.000 3.365 4.452 Ac
2.915 1.683 2.339 Ac
0.000 0.000 3.396 Zr
0.000 3.365 1.380 Si
2.915 1.683 5.411 Si
0.000 1.755 2.068 N
-1.395 4.171 2.068 N
1.520 0.877 4.723 N
1.395 4.171 2.068 N
4.309 0.877 4.723 N
2.915 3.293 4.723 N
```

Principal peaks in the range 10 to 90 degrees two-theta, by angle:
| d_spacing | 2θ (°) | Rel. int. |
| --- | --- | --- |
| 4.051 | 21.9 | 82.1 |
| 2.915 | 30.7 | 100.0 |
| 2.817 | 31.8 | 90.1 |
| 2.366 | 38.0 | 32.5 |
| 2.026 | 44.7 | 44.2 |
| 1.837 | 49.6 | 21.6 |
| 1.788 | 51.1 | 20.2 |
| 1.683 | 54.5 | 21.5 |
| 1.663 | 55.2 | 38.5 |
| 1.294 | 73.1 | 17.3 |

---

[6]
# AcSm2SnN4
Computed powder diffractogram, a wavelength of 1.5418 Å. Input: a cell relaxed with PBE.
Intensities are scaled so that the largest is 100.

Structural model:
```
AcSm2SnN4
1.0
1.862 -6.114 0.000
1.862 6.114 0.000
0.000 0.000 12.297
Ac Sm Sn N
2 4 2 8
Cartesian
1.862 4.821 9.223 Ac
1.862 -4.821 3.074 Ac
1.862 1.573 6.625 Sm
1.862 1.573 11.821 Sm
1.862 -1.573 0.476 Sm
1.862 -1.573 5.672 Sm
1.862 4.182 3.074 Sn
1.862 -4.182 9.223 Sn
0.000 0.000 0.000 N
0.000 0.000 6.149 N
1.862 2.788 1.506 N
1.862 2.788 4.642 N
1.862 0.828 9.223 N
1.862 -0.828 3.074 N
1.862 -2.788 7.655 N
1.862 -2.788 10.791 N
```

Principal peaks in the range 10 to 90 degrees two-theta, by angle:
| d_spacing | 2θ (°) | Rel. int. |
| --- | --- | --- |
| 3.405 | 26.2 | 23.7 |
| 3.080 | 29.0 | 100.0 |
| 3.057 | 29.2 | 32.1 |
| 2.683 | 33.4 | 23.4 |
| 2.510 | 35.8 | 47.7 |
| 2.168 | 41.7 | 17.8 |
| 1.940 | 46.8 | 15.7 |
| 1.833 | 49.7 | 13.7 |
| 1.591 | 58.0 | 18.6 |
| 1.412 | 66.2 | 13.6 |